# FeSi4O10
Computed X-ray diffraction stick pattern, copper Kα. Input: a DFT-relaxed cell (PBE+U, the Materials Project).

Principal peaks in the range 10 to 90 degrees two-theta, in order of rising 2θ:
2θ (°)	Rel. int.	hkl
17.05	39	1 1 0
22.69	100	0 0 4
24.20	33	2 0 0
25.75	54	1 0 4
26.77	33	2 0 2
29.44	71	2 1 2

Structural model:
a = 7.3565 Å, b = 7.3565 Å, c = 15.6787 Å
α = 90.00°, β = 90.00°, γ = 90.00°
Space group P4/ncc (No. 130, origin choice 2)
Inequivalent atoms, fractional coordinates:
Fe1 0.2500 0.2500 0.0880 (multiplicity 4)
Si1 0.0062 0.0728 0.3505 (multiplicity 16)
O1 0.0016 0.7103 0.6289 (multiplicity 16)
O2 0.0242 0.1489 0.0909 (multiplicity 16)
O3 0.0398 0.5398 0.2500 (multiplicity 8)